Record 1
Calculated PXRD pattern of Rb2NbAgCl6 for Cu Kα (λ = 1.5418 Å), from DFT lattice parameters and positions (GGA-PBE).

Main lines, by angle (5 to 70 degrees two-theta):
| d_spacing | 2θ/deg | intensity |
| --- | --- | --- |
| 5.190 | 17.08 | 15.9 |
| 3.670 | 24.25 | 100.0 |
| 2.996 | 29.82 | 13.8 |
| 2.595 | 34.56 | 73.5 |
| 2.321 | 38.80 | 6.5 |
| 2.119 | 42.67 | 44.4 |
| 1.835 | 49.69 | 48.3 |
| 1.641 | 56.03 | 20.5 |
| 1.498 | 61.94 | 15.9 |
| 1.387 | 67.53 | 23.0 |

Structural model:
```
data_Rb2NbAgCl6
_cell_length_a 10.3799
_cell_length_b 10.3799
_cell_length_c 10.3799
_cell_angle_alpha 90.00
_cell_angle_beta 90.00
_cell_angle_gamma 90.00
_space_group_name_H-M_alt 'F m -3 m'
_space_group_IT_number 225
_space_group_name_Hall '-F 4 2 3'
loop_
_atom_site_label
_atom_site_type_symbol
_atom_site_fract_x
_atom_site_fract_y
_atom_site_fract_z
_atom_site_occupancy
Rb1 Rb 0.2500 0.2500 0.2500 1
Nb1 Nb 0.0000 0.0000 0.0000 1
Ag1 Ag 0.0000 0.0000 0.5000 1
Cl1 Cl 0.0000 0.0000 0.2403 1
```



Record 2
Calculated PXRD pattern of KHoNO for Cu Kα (λ = 1.5418 Å), from DFT lattice parameters and positions (GGA-PBE).

Main lines, by angle (5 to 70 degrees two-theta):
| d_spacing | 2θ/deg | intensity |
| --- | --- | --- |
| 8.728 | 10.14 | 70.0 |
| 3.771 | 23.59 | 53.0 |
| 3.709 | 23.99 | 34.7 |
| 2.984 | 29.94 | 100.0 |
| 2.443 | 36.80 | 22.6 |
| 2.174 | 41.53 | 26.8 |
| 2.050 | 44.17 | 18.8 |
| 1.761 | 51.94 | 17.7 |
| 1.624 | 56.68 | 20.7 |
| 1.495 | 62.10 | 15.6 |

Structural model:
```
data_KHoNO
_cell_length_a 8.7277
_cell_length_b 7.5232
_cell_length_c 4.8853
_cell_angle_alpha 90.00
_cell_angle_beta 90.00
_cell_angle_gamma 90.00
_space_group_name_H-M_alt 'P b c m'
_space_group_IT_number 57
_space_group_name_Hall '-P 2c 2b'
loop_
_atom_site_label
_atom_site_type_symbol
_atom_site_fract_x
_atom_site_fract_y
_atom_site_fract_z
_atom_site_occupancy
K1 K 0.1070 0.1107 0.2500 1
Ho1 Ho 0.3814 0.5879 0.2500 1
N1 N 0.4129 0.6085 0.7500 1
O1 O 0.1718 0.0304 0.7500 1
```



Record 3
Calculated PXRD pattern of Ba2LaAg5O6 for Cu Kα (λ = 1.5418 Å), from DFT lattice parameters and positions (GGA-PBE).

Main lines, by angle (5 to 70 degrees two-theta):
| d_spacing | 2θ/deg | intensity |
| --- | --- | --- |
| 3.282 | 27.17 | 36.9 |
| 3.087 | 28.92 | 34.3 |
| 2.832 | 31.59 | 89.4 |
| 2.762 | 32.41 | 100.0 |
| 2.749 | 32.57 | 70.7 |
| 2.594 | 34.58 | 35.9 |
| 2.548 | 35.22 | 46.8 |
| 1.945 | 46.71 | 44.0 |
| 1.847 | 49.35 | 43.9 |
| 1.833 | 49.74 | 35.4 |

Structural model:
```
data_Ba2LaAg5O6
_cell_length_a 12.6794
_cell_length_b 3.6933
_cell_length_c 10.5758
_cell_angle_alpha 90.00
_cell_angle_beta 103.09
_cell_angle_gamma 90.00
_space_group_name_H-M_alt 'C 1 2/m 1'
_space_group_IT_number 12
_space_group_name_Hall '-C 2y'
loop_
_atom_site_label
_atom_site_type_symbol
_atom_site_fract_x
_atom_site_fract_y
_atom_site_fract_z
_atom_site_occupancy
Ba1 Ba 0.2261 0.0000 0.3050 1
La1 La 0.0000 0.0000 0.5000 1
Ag1 Ag 0.0000 0.5000 0.0000 1
Ag2 Ag 0.0163 0.5000 0.7524 1
Ag3 Ag 0.1603 0.0000 0.9393 1
O1 O 0.1125 0.5000 0.4440 1
O2 O 0.1220 0.0000 0.7100 1
O3 O 0.1542 0.5000 0.1155 1
```